1.
This entry pairs a crystal structure of La2Pd2O7 with its computed X-ray powder pattern. Radiation: Cu Kα X-rays. Structure: a structure optimized by DFT (PBE).
Intensities are scaled so that the largest is 100.

Structural model:
abc: 7.4987 7.4987 7.4987
angles: 60.00 60.00 60.00
Positions (direct):
La 0.0000 0.0000 0.0000
La 0.0000 0.0000 0.5000
La 0.0000 0.5000 0.0000
La 0.5000 0.0000 0.0000
Pd 0.0000 0.5000 0.5000
Pd 0.5000 0.0000 0.5000
Pd 0.5000 0.5000 0.0000
Pd 0.5000 0.5000 0.5000
O 0.1250 0.1250 0.1250
O 0.1676 0.1676 0.5824
O 0.1676 0.5824 0.1676
O 0.1676 0.5824 0.5824
O 0.4176 0.4176 0.8324
O 0.4176 0.8324 0.4176
O 0.4176 0.8324 0.8324
O 0.5824 0.1676 0.1676
O 0.5824 0.1676 0.5824
O 0.5824 0.5824 0.1676
O 0.8324 0.4176 0.4176
O 0.8324 0.4176 0.8324
O 0.8324 0.8324 0.4176
O 0.8750 0.8750 0.8750

Principal peaks in the range 2θ = 15–90°, in order of rising 2θ:
d (Å), 2θ/deg, I (rel.)
3.061, 29.2, 100
2.651, 33.8, 32
1.875, 48.6, 48
1.599, 57.7, 43
1.216, 78.7, 17
1.186, 81.1, 14

=====

2.
This entry pairs a crystal structure of La3PdO6 with its computed X-ray powder pattern. Radiation: Cu Kα X-rays. Structure: a structure optimized by DFT (PBE).
Intensities are scaled so that the largest is 100.

Structural model:
abc: 7.5273 7.5273 5.7380
angles: 90.00 90.00 101.08
Positions (direct):
La 0.1066 0.8934 0.5000
La 0.1752 0.4100 0.5450
La 0.4100 0.1752 0.0450
La 0.5900 0.8248 0.5450
La 0.8248 0.5900 0.0450
La 0.8934 0.1066 0.0000
Pd 0.3682 0.6318 0.0475
Pd 0.6318 0.3682 0.5475
O 0.1089 0.6030 0.2345
O 0.1460 0.1665 0.2764
O 0.1665 0.1460 0.7764
O 0.2785 0.7215 0.7489
O 0.3970 0.8911 0.2345
O 0.4808 0.5192 0.3453
O 0.5192 0.4808 0.8453
O 0.6030 0.1089 0.7345
O 0.7215 0.2785 0.2489
O 0.8335 0.8540 0.2764
O 0.8540 0.8335 0.7764
O 0.8911 0.3970 0.7345

Principal peaks in the range 2θ = 15–90°, in order of rising 2θ:
d (Å), 2θ/deg, I (rel.)
3.106, 28.7, 100
2.906, 30.8, 15
2.869, 31.2, 16
2.042, 44.4, 22
1.714, 53.5, 17
1.698, 54.0, 15

=====

3.
This entry pairs a crystal structure of LaPd3Rh4O12 with its computed X-ray powder pattern. Radiation: Cu Kα X-rays. Structure: a structure optimized by DFT (PBE).
Intensities are scaled so that the largest is 100.

Structural model:
abc: 6.6437 6.6437 6.6437
angles: 109.47 109.47 109.47
Positions (direct):
La 0.0000 0.0000 0.0000
Pd 0.0000 0.5000 0.5000
Pd 0.5000 0.0000 0.5000
Pd 0.5000 0.5000 0.0000
Rh 0.0000 0.0000 0.5000
Rh 0.0000 0.5000 0.0000
Rh 0.5000 0.0000 0.0000
Rh 0.5000 0.5000 0.5000
O 0.1279 0.2996 0.8283
O 0.1717 0.4712 0.2996
O 0.1717 0.8721 0.7004
O 0.2996 0.1717 0.4712
O 0.2996 0.8283 0.1279
O 0.4712 0.2996 0.1717
O 0.5288 0.7004 0.8283
O 0.7004 0.1717 0.8721
O 0.7004 0.8283 0.5288
O 0.8283 0.1279 0.2996
O 0.8283 0.5288 0.7004
O 0.8721 0.7004 0.1717

Principal peaks in the range 2θ = 15–90°, in order of rising 2θ:
d (Å), 2θ/deg, I (rel.)
2.712, 33.0, 100
1.918, 47.4, 23
1.566, 59.0, 46
1.356, 69.3, 13
1.213, 78.9, 17
1.107, 88.3, 4

=====

4.
This entry pairs a crystal structure of LaPmO2 with its computed X-ray powder pattern. Radiation: Cu Kα X-rays. Structure: a structure optimized by DFT (PBE).
Intensities are scaled so that the largest is 100.

Structural model:
abc: 6.2193 3.5755 6.2430
angles: 90.00 109.28 90.00
Positions (direct):
La 0.0000 0.0000 0.0000
La 0.5000 0.5000 0.0000
Pm 0.0000 0.5000 0.5000
Pm 0.5000 0.0000 0.5000
O 0.2430 0.0000 0.7290
O 0.2570 0.5000 0.2710
O 0.7430 0.5000 0.7290
O 0.7570 0.0000 0.2710

Principal peaks in the range 2θ = 15–90°, in order of rising 2θ:
d (Å), 2θ/deg, I (rel.)
2.947, 30.3, 31
2.935, 30.5, 31
2.924, 30.6, 61
2.540, 35.3, 100
1.799, 50.8, 23
1.793, 50.9, 23

=====

5.
This entry pairs a crystal structure of Rb2LaPm3O8 with its computed X-ray powder pattern. Radiation: Cu Kα X-rays. Structure: a structure optimized by DFT (PBE).
Intensities are scaled so that the largest is 100.

Structural model:
abc: 7.6155 7.6155 7.6155
angles: 56.94 56.94 56.94
Positions (direct):
Rb 0.0000 0.0000 0.0000
Rb 0.3801 0.3801 0.3801
La 0.7602 0.7602 0.7602
Pm 0.3719 0.3719 0.8731
Pm 0.3719 0.8731 0.3719
Pm 0.8731 0.3719 0.3719
O 0.1342 0.6486 0.6487
O 0.1350 0.1350 0.5483
O 0.1350 0.5483 0.1350
O 0.1451 0.1451 0.1451
O 0.5483 0.1350 0.1350
O 0.6036 0.6036 0.6036
O 0.6487 0.1342 0.6487
O 0.6487 0.6487 0.1342

Principal peaks in the range 2θ = 15–90°, in order of rising 2θ:
d (Å), 2θ/deg, I (rel.)
3.262, 27.3, 66
3.153, 28.3, 100
3.102, 28.8, 87
2.986, 29.9, 55
1.900, 47.9, 53
1.815, 50.3, 53

=====

6.
This entry pairs a crystal structure of LaPm2SiO8 with its computed X-ray powder pattern. Radiation: Cu Kα X-rays. Structure: a structure optimized by DFT (PBE).
Intensities are scaled so that the largest is 100.

Structural model:
abc: 5.1775 5.1775 6.6319
angles: 90.00 90.00 120.00
Positions (direct):
La 0.0000 0.0000 0.0000
Pm 0.3333 0.6667 0.3662
Pm 0.6667 0.3333 0.6338
Si 0.0000 0.0000 0.5000
O 0.1580 0.3161 0.6601
O 0.1580 0.8420 0.6601
O 0.3161 0.1580 0.3399
O 0.3333 0.6667 0.0394
O 0.6667 0.3333 0.9606
O 0.6839 0.8420 0.6601
O 0.8420 0.1580 0.3399
O 0.8420 0.6839 0.3399

Principal peaks in the range 2θ = 15–90°, in order of rising 2θ:
d (Å), 2θ/deg, I (rel.)
3.715, 24.0, 100
2.666, 33.6, 49
2.589, 34.7, 68
2.124, 42.6, 42
1.857, 49.0, 31
1.642, 56.0, 21

=====

7.
This entry pairs a crystal structure of La4Pr2Sb3O2 with its computed X-ray powder pattern. Radiation: Cu Kα X-rays. Structure: a structure optimized by DFT (PBE).
Intensities are scaled so that the largest is 100.

Structural model:
abc: 13.6730 13.6730 13.6730
angles: 159.65 159.65 28.93
Positions (direct):
La 0.0828 0.5828 0.5000
La 0.4172 0.9172 0.5000
La 0.5828 0.0828 0.5000
La 0.9172 0.4172 0.5000
Pr 0.1990 0.1990 0.0000
Pr 0.8010 0.8010 0.0000
Sb 0.3229 0.3229 0.0000
Sb 0.5000 0.5000 0.0000
Sb 0.6771 0.6771 0.0000
O 0.1032 0.1032 0.0000
O 0.8968 0.8968 0.0000

Principal peaks in the range 2θ = 15–90°, in order of rising 2θ:
d (Å), 2θ/deg, I (rel.)
3.308, 27.0, 66
3.035, 29.4, 21
2.701, 33.2, 100
2.415, 37.2, 59
1.708, 53.7, 20
1.444, 64.6, 29

=====

8.
This entry pairs a crystal structure of La3PtO6 with its computed X-ray powder pattern. Radiation: Cu Kα X-rays. Structure: a structure optimized by DFT (PBE).
Intensities are scaled so that the largest is 100.

Structural model:
abc: 6.8920 6.8920 6.8920
angles: 98.07 98.07 98.07
Positions (direct):
La 0.0981 0.7812 0.6140
La 0.2188 0.3860 0.9019
La 0.3860 0.9019 0.2188
La 0.6140 0.0981 0.7812
La 0.7812 0.6140 0.0981
La 0.9019 0.2188 0.3860
Pt 0.0000 0.0000 0.0000
Pt 0.5000 0.5000 0.5000
O 0.0613 0.9135 0.3106
O 0.0865 0.6894 0.9387
O 0.2037 0.4419 0.5485
O 0.3106 0.0613 0.9135
O 0.4419 0.5485 0.2037
O 0.4515 0.7963 0.5581
O 0.5485 0.2037 0.4419
O 0.5581 0.4515 0.7963
O 0.6894 0.9387 0.0865
O 0.7963 0.5581 0.4515
O 0.9135 0.3106 0.0613
O 0.9387 0.0865 0.6894

Principal peaks in the range 2θ = 15–90°, in order of rising 2θ:
d (Å), 2θ/deg, I (rel.)
4.414, 20.1, 30
3.372, 26.4, 44
3.229, 27.6, 81
2.827, 31.6, 100
2.032, 44.6, 60
1.967, 46.1, 44

=====

9.
This entry pairs a crystal structure of La3PtO7 with its computed X-ray powder pattern. Radiation: Cu Kα X-rays. Structure: a structure optimized by DFT (PBE).
Intensities are scaled so that the largest is 100.

Structural model:
abc: 6.7749 6.7749 7.6704
angles: 90.00 90.00 68.27
Positions (direct):
La 0.0000 0.0000 0.0000
La 0.0000 0.0000 0.5000
La 0.0835 0.4702 0.7500
La 0.4702 0.0835 0.2500
La 0.5298 0.9165 0.7500
La 0.9165 0.5298 0.2500
Pt 0.5000 0.5000 0.0000
Pt 0.5000 0.5000 0.5000
O 0.1033 0.1586 0.2500
O 0.1586 0.1033 0.7500
O 0.1878 0.5601 0.0395
O 0.1878 0.5601 0.4605
O 0.4068 0.5932 0.7500
O 0.4399 0.8122 0.0395
O 0.4399 0.8122 0.4605
O 0.5601 0.1878 0.5395
O 0.5601 0.1878 0.9605
O 0.5932 0.4068 0.2500
O 0.8122 0.4399 0.5395
O 0.8122 0.4399 0.9605
O 0.8414 0.8967 0.2500
O 0.8967 0.8414 0.7500

Principal peaks in the range 2θ = 15–90°, in order of rising 2θ:
d (Å), 2θ/deg, I (rel.)
3.166, 28.2, 100
3.147, 28.4, 85
2.804, 31.9, 23
2.700, 33.2, 42
1.945, 46.7, 47
1.638, 56.2, 25

=====

10.
This entry pairs a crystal structure of La2PtO with its computed X-ray powder pattern. Radiation: Cu Kα X-rays. Structure: a structure optimized by DFT (PBE).
Intensities are scaled so that the largest is 100.

Structural model:
abc: 6.0389 6.0815 11.9519
angles: 90.00 117.05 90.00
Positions (direct):
La 0.0919 0.2389 0.1039
La 0.0919 0.7611 0.6039
La 0.3267 0.2132 0.8550
La 0.3267 0.7868 0.3550
La 0.6733 0.2132 0.6450
La 0.6733 0.7868 0.1450
La 0.9081 0.2389 0.3961
La 0.9081 0.7611 0.8961
Pt 0.3891 0.2868 0.3760
Pt 0.3891 0.7132 0.8760
Pt 0.6109 0.2868 0.1240
Pt 0.6109 0.7132 0.6240
O 0.0468 0.1488 0.6239
O 0.0468 0.8512 0.1239
O 0.9532 0.1488 0.8761
O 0.9532 0.8512 0.3761

Principal peaks in the range 2θ = 15–90°, in order of rising 2θ:
d (Å), 2θ/deg, I (rel.)
3.065, 29.1, 38
3.041, 29.4, 90
3.015, 29.6, 100
2.661, 33.7, 67
2.141, 42.2, 64
2.003, 45.3, 47

=====

11.
This entry pairs a crystal structure of SrLa2PtO5 with its computed X-ray powder pattern. Radiation: Cu Kα X-rays. Structure: a structure optimized by DFT (PBE).
Intensities are scaled so that the largest is 100.

Structural model:
abc: 6.8878 6.8878 5.9268
angles: 90.00 90.00 90.00
Positions (direct):
Sr 0.0000 0.0000 0.0000
Sr 0.5000 0.5000 0.0000
La 0.1753 0.3247 0.5000
La 0.3247 0.8247 0.5000
La 0.6753 0.1753 0.5000
La 0.8247 0.6753 0.5000
Pt 0.0000 0.5000 0.0000
Pt 0.5000 0.0000 0.0000
O 0.0000 0.0000 0.5000
O 0.1454 0.6454 0.2437
O 0.1454 0.6454 0.7563
O 0.3546 0.1454 0.2437
O 0.3546 0.1454 0.7563
O 0.5000 0.5000 0.5000
O 0.6454 0.8546 0.2437
O 0.6454 0.8546 0.7563
O 0.8546 0.3546 0.2437
O 0.8546 0.3546 0.7563

Principal peaks in the range 2θ = 15–90°, in order of rising 2θ:
d (Å), 2θ/deg, I (rel.)
4.870, 18.2, 26
2.978, 30.0, 100
2.963, 30.2, 35
2.733, 32.8, 35
2.435, 36.9, 25
2.136, 42.3, 26